1.
Starting from a structure optimized by DFT (PBE), the PXRD pattern of P5Cl4 was simulated for a wavelength of 1.5418 Å.
No peak broadening, texture or thermal motion is included.

Crystal structure
a = 10.3162 Å, b = 10.3162 Å, c = 4.6341 Å
α = 90.00°, β = 90.00°, γ = 120.00°
Positions (direct):
1 P 0.0000 0.4899 0.2500
2 P 0.0000 0.5101 0.7500
3 P 0.3333 0.6667 0.0000
4 P 0.3333 0.6667 0.5000
5 P 0.4899 0.0000 0.2500
6 P 0.4899 0.4899 0.7500
7 P 0.5101 0.0000 0.7500
8 P 0.5101 0.5101 0.2500
9 P 0.6667 0.3333 0.0000
10 P 0.6667 0.3333 0.5000
11 Cl 0.0000 0.0000 0.0000
12 Cl 0.0000 0.0000 0.5000
13 Cl 0.0000 0.2937 0.2500
14 Cl 0.0000 0.7063 0.7500
15 Cl 0.2937 0.0000 0.2500
16 Cl 0.2937 0.2937 0.7500
17 Cl 0.7063 0.0000 0.7500
18 Cl 0.7063 0.7063 0.2500

Main lines, most intense first (2θ from 5° to 70°):
- 2θ = 25.85°, I = 100
- 2θ = 30.01°, I = 87
- 2θ = 42.78°, I = 75
- 2θ = 19.88°, I = 57
- 2θ = 34.79°, I = 47
- 2θ = 40.38°, I = 38


2.
Starting from a structure optimized by DFT (PBE), the PXRD pattern of P2Cl was simulated for a wavelength of 1.5418 Å.
No peak broadening, texture or thermal motion is included.

Crystal structure
a = 3.3598 Å, b = 3.5187 Å, c = 6.7194 Å
α = 88.30°, β = 88.68°, γ = 76.64°
Positions (direct):
1 P 0.0000 0.0000 0.0000
2 P 0.4034 0.3792 0.8905
3 Cl 0.9792 0.9520 0.3054

Main lines, most intense first (2θ from 5° to 70°):
- 2θ = 13.18°, I = 100
- 2θ = 28.98°, I = 33
- 2θ = 33.25°, I = 30
- 2θ = 30.21°, I = 25
- 2θ = 26.55°, I = 24
- 2θ = 42.42°, I = 19